For Li2VOF4, a structure optimized by DFT (PBE+U) gives the simulated X-ray powder pattern in this record (Cu Kα (weighted mean of Kα1 and Kα2)).

Crystal structure
Lattice parameters (Å, degrees): 5.1793 7.0232 9.7877 90.00 90.00 90.00
Space group P2_12_12_1 (No. 19)
One atom of each set of equivalent atoms:
Li 0.0364 0.2194 0.2173 (multiplicity 4)
Li 0.0426 0.0886 0.9177 (multiplicity 4)
V 0.0115 0.5664 0.9401 (multiplicity 4)
O 0.2385 0.0335 0.1078 (multiplicity 4)
F 0.0593 0.0164 0.3650 (multiplicity 4)
F 0.1312 0.3271 0.5309 (multiplicity 4)
F 0.1380 0.6460 0.7623 (multiplicity 4)
F 0.2362 0.3408 0.9278 (multiplicity 4)

Main lines, sorted by position (10° ≤ 2θ ≤ 90°):
2θ/deg, I (rel.), index
15.5, 19, 0 1 1
18.1, 49, 0 0 2
22.1, 27, 0 1 2
23.2, 100, 1 1 1
25.4, 16, 0 2 0
30.8, 25, 1 2 0
34.9, 16, 1 1 3
38.2, 22, 2 1 1
42.4, 18, 1 3 0
43.4, 18, 2 2 0
49.8, 19, 1 0 5
52.1, 20, 2 2 3